Record 1
# LiNiB2O
Computed X-ray powder pattern, Cu Kα (λ = 1.5418 Å). Input: the GGA+U geometry in Alexandria.
No peak broadening, texture or thermal motion is included.

The 12 most intense peaks (15 to 90 degrees two-theta), low angle first:
| 2θ (°) | Rel. int. |
| --- | --- |
| 18.51 | 89 |
| 26.51 | 62 |
| 32.52 | 48 |
| 37.52 | 46 |
| 37.84 | 43 |
| 42.44 | 100 |
| 46.53 | 28 |
| 54.35 | 28 |
| 54.59 | 27 |
| 58.15 | 16 |
| 68.12 | 25 |
| 71.07 | 18 |

Atomic structure:
Unit cell a=3.362 b=3.362 c=4.794 alpha=90.00 beta=90.00 gamma=90.00
Space group P4/mmm (No. 123)
Inequivalent atoms, fractional coordinates:
Li1 0.000 0.000 0.000 (multiplicity 1)
Ni1 0.000 0.000 0.500 (multiplicity 1)
B1 0.000 0.500 0.000 (multiplicity 2)
O1 0.500 0.500 0.500 (multiplicity 1)

---

Record 2
# Li4NiB2O6
Computed X-ray powder pattern, Cu Kα (λ = 1.5418 Å). Input: the GGA+U geometry in Alexandria.
No peak broadening, texture or thermal motion is included.

The 12 most intense peaks (15 to 90 degrees two-theta), low angle first:
| 2θ (°) | Rel. int. |
| --- | --- |
| 29.63 | 77 |
| 29.80 | 52 |
| 30.79 | 78 |
| 31.33 | 98 |
| 35.54 | 100 |
| 39.34 | 36 |
| 40.08 | 31 |
| 45.07 | 43 |
| 46.49 | 59 |
| 48.67 | 31 |
| 55.47 | 51 |
| 56.76 | 55 |

Atomic structure:
Unit cell a=7.876 b=9.373 c=3.242 alpha=90.00 beta=90.00 gamma=90.00
Space group Pnnm (No. 58)
Inequivalent atoms, fractional coordinates:
Li1 0.000 0.210 0.000 (multiplicity 4)
Li2 0.169 0.060 0.500 (multiplicity 4)
Ni1 0.000 0.500 0.500 (multiplicity 2)
B1 0.237 0.804 0.500 (multiplicity 4)
O1 0.082 0.869 0.500 (multiplicity 4)
O2 0.114 0.391 0.000 (multiplicity 4)
O3 0.249 0.157 0.000 (multiplicity 4)